No. 1
InAg2I: simulated XRD peak list (Cu Kα), based on a crystal structure in Alexandria, relaxed with PBE.
Intensities are scaled so that the largest is 100.

Most intense lines, 2θ = 10–80°, by angle:
d [Å]	intensity
7.635	64
3.799	63
3.364	46
3.212	65
2.731	49
2.546	100
2.402	69
2.325	59
2.137	45
2.087	46

Cell lengths 4.9434, 5.9417, 7.6399 Å; angles 90.00, 92.09, 90.00 degrees
Element x y z (fractional)
In (0.0124, 0.0000, 0.4530)
In (0.9876, 0.5000, 0.5470)
Ag (0.4259, 0.3647, 0.7831)
Ag (0.4914, 0.7569, 0.5692)
Ag (0.5086, 0.2569, 0.4308)
Ag (0.5741, 0.8647, 0.2169)
I (0.2320, 0.4911, 0.1188)
I (0.7680, 0.9911, 0.8812)



No. 2
In6AgI12: simulated XRD peak list (Cu Kα), based on a crystal structure in Alexandria, relaxed with PBE.
Intensities are scaled so that the largest is 100.

Most intense lines, 2θ = 10–80°, by angle:
d [Å]	intensity
5.598	37
5.114	31
3.973	57
3.712	28
3.615	88
3.562	100
3.167	25
2.895	27
2.701	25
2.007	37

Cell lengths 8.4253, 11.4612, 11.8284 Å; angles 64.14, 71.87, 81.43 degrees
Element x y z (fractional)
In (0.0162, 0.1985, 0.2542)
In (0.2939, 0.8951, 0.3877)
In (0.4436, 0.2828, 0.2872)
In (0.5564, 0.7172, 0.7128)
In (0.7061, 0.1049, 0.6123)
In (0.9838, 0.8015, 0.7458)
Ag (0.0000, 0.0000, 0.5000)
I (0.0455, 0.2129, 0.0088)
I (0.1966, 0.4523, 0.1942)
I (0.2804, 0.5918, 0.7441)
I (0.3255, 0.1422, 0.5547)
I (0.3621, 0.7253, 0.2685)
I (0.4906, 0.8693, 0.8519)
I (0.5094, 0.1307, 0.1481)
I (0.6379, 0.2747, 0.7315)
I (0.6745, 0.8578, 0.4453)
I (0.7196, 0.4082, 0.2559)
I (0.8034, 0.5477, 0.8058)
I (0.9545, 0.7871, 0.9912)



No. 3
K3In4AgI8: simulated XRD peak list (Cu Kα), based on a crystal structure in Alexandria, relaxed with PBE.
Intensities are scaled so that the largest is 100.

Most intense lines, 2θ = 10–80°, by angle:
d [Å]	intensity
3.522	55
3.480	100
2.488	40
2.470	19
2.463	39
2.451	18
2.011	29
1.740	11
1.566	17
1.553	14

Cell lengths 9.8526, 9.8526, 9.8821 Å; angles 119.42, 119.42, 59.68 degrees
Element x y z (fractional)
K (0.0000, 0.0000, 0.0000)
K (0.0000, 0.5000, 0.0000)
K (0.5000, 0.0000, 0.0000)
In (0.0000, 0.0000, 0.5000)
In (0.0000, 0.5000, 0.5000)
In (0.5000, 0.0000, 0.5000)
In (0.5000, 0.5000, 0.5000)
Ag (0.5000, 0.5000, 0.0000)
I (0.2454, 0.2454, 0.7446)
I (0.2507, 0.2507, 0.2510)
I (0.2765, 0.7217, 0.7749)
I (0.2783, 0.7235, 0.2251)
I (0.7217, 0.2765, 0.7749)
I (0.7235, 0.2783, 0.2251)
I (0.7493, 0.7493, 0.7490)
I (0.7546, 0.7546, 0.2554)



No. 4
NaInAg2I6: simulated XRD peak list (Cu Kα), based on a crystal structure in Alexandria, relaxed with PBE.
Intensities are scaled so that the largest is 100.

Most intense lines, 2θ = 10–80°, by angle:
d [Å]	intensity
6.344	10
5.628	19
4.137	9
3.371	100
2.596	60
2.217	43
2.003	24
1.853	10
1.685	12
1.379	10

Cell lengths 7.6713, 7.6807, 8.3200 Å; angles 90.02, 117.45, 119.92 degrees
Element x y z (fractional)
Na (0.0000, 0.0000, 0.0000)
In (0.9792, 0.4895, 0.4681)
Ag (0.6028, 0.3008, 0.9023)
Ag (0.6273, 0.8145, 0.4403)
I (0.1219, 0.4254, 0.2084)
I (0.1233, 0.2347, 0.6964)
I (0.4627, 0.8881, 0.6957)
I (0.5130, 0.0882, 0.2086)
I (0.7842, 0.6971, 0.2093)
I (0.8088, 0.5747, 0.6964)